1.
Ti3P4N2O16: calculated X-ray diffraction stick pattern (Cu Kα, 1.54184 Å), based on a crystal structure in the Materials Project, relaxed with PBE.

The 10 most intense peaks (2θ from 10° to 90°), in order of falling intensity:
2θ 14.16, I = 100; 2θ 22.07, I = 82; 2θ 26.97, I = 74; 2θ 11.24, I = 54; 2θ 18.20, I = 43; 2θ 28.17, I = 35; 2θ 18.02, I = 27; 2θ 26.62, I = 27; 2θ 23.07, I = 26; 2θ 30.09, I = 25

Crystal structure
```
data_Ti3P4N2O16
_chemical_formula_sum 'Ti6 P8 N4 O32'
_space_group_name_H-M_alt 'P 1 21 1'
_space_group_IT_number 4
_space_group_name_Hall 'P 2yb'
_cell_length_a 5.078
_cell_length_b 17.844
_cell_length_c 8.794
_cell_angle_alpha 90.00
_cell_angle_beta 93.59
_cell_angle_gamma 90.00
loop_
_atom_site_label
_atom_site_type_symbol
_atom_site_fract_x
_atom_site_fract_y
_atom_site_fract_z
Ti1 Ti 0.048 0.000 0.060
Ti2 Ti 0.264 0.307 0.749
Ti3 Ti 0.431 0.615 0.433
P1 P 0.047 0.218 0.429
P2 P 0.115 0.131 0.815
P3 P 0.427 0.484 0.687
P4 P 0.457 0.397 0.080
N1 N 0.083 0.934 0.587
N2 N 0.440 0.680 0.883
O1 O 0.053 0.246 0.272
O2 O 0.089 0.094 0.974
O3 O 0.114 0.280 0.560
O4 O 0.124 0.607 0.288
O5 O 0.130 0.218 0.836
O6 O 0.202 0.512 0.779
O7 O 0.229 0.456 0.056
O8 O 0.232 0.687 0.530
O9 O 0.257 0.155 0.475
O10 O 0.287 0.938 0.970
O11 O 0.297 0.999 0.241
O12 O 0.381 0.107 0.755
O13 O 0.385 0.340 0.940
O14 O 0.388 0.397 0.661
O15 O 0.410 0.523 0.528
O16 O 0.487 0.362 0.232
```


2.
NdSO: calculated X-ray diffraction stick pattern (Cu Kα, 1.54184 Å), based on a crystal structure in the Materials Project, relaxed with PBE.

The 10 most intense peaks (2θ from 10° to 90°), in order of falling intensity:
2θ 29.77, I = 100; 2θ 30.46, I = 29; 2θ 22.49, I = 27; 2θ 53.71, I = 24; 2θ 52.39, I = 19; 2θ 43.62, I = 18; 2θ 41.40, I = 17; 2θ 49.62, I = 16; 2θ 13.58, I = 13; 2θ 41.56, I = 10

Crystal structure
```
data_NdSO
_chemical_formula_sum 'Nd8 S8 O8'
_space_group_name_H-M_alt 'P b c m'
_space_group_IT_number 57
_space_group_name_Hall '-P 2c 2b'
_cell_length_a 5.871
_cell_length_b 5.866
_cell_length_c 13.038
_cell_angle_alpha 90.00
_cell_angle_beta 90.00
_cell_angle_gamma 90.00
loop_
_atom_site_label
_atom_site_type_symbol
_atom_site_fract_x
_atom_site_fract_y
_atom_site_fract_z
Nd1 Nd 0.250 0.002 0.088
S1 S 0.121 0.636 0.250
S2 S 0.375 0.119 0.750
O1 O 0.006 0.250 0.000
O2 O 0.494 0.750 0.000
```


3.
Al5O8: calculated X-ray diffraction stick pattern (Cu Kα, 1.54184 Å), based on a crystal structure in the Materials Project, relaxed with PBE.

The 10 most intense peaks (2θ from 10° to 90°), in order of falling intensity:
2θ 45.41, I = 100; 2θ 19.24, I = 96; 2θ 37.33, I = 89; 2θ 66.16, I = 85; 2θ 60.18, I = 47; 2θ 22.25, I = 24; 2θ 83.90, I = 14; 2θ 31.68, I = 13; 2θ 69.62, I = 13; 2θ 78.50, I = 10

Crystal structure
```
data_Al5O8
_chemical_formula_sum 'Al20 O32'
_space_group_name_H-M_alt 'F -4 3 m'
_space_group_IT_number 216
_space_group_name_Hall 'F -4 2 3'
_cell_length_a 7.990
_cell_length_b 7.990
_cell_length_c 7.990
_cell_angle_alpha 90.00
_cell_angle_beta 90.00
_cell_angle_gamma 90.00
loop_
_atom_site_label
_atom_site_type_symbol
_atom_site_fract_x
_atom_site_fract_y
_atom_site_fract_z
Al1 Al 0.000 0.000 0.000
Al2 Al 0.122 0.122 0.622
O1 O 0.112 0.112 0.388
O2 O 0.133 0.133 0.867
```


4.
TiH: calculated X-ray diffraction stick pattern (Cu Kα, 1.54184 Å), based on a crystal structure in the Materials Project, relaxed with PBE.

The 5 most intense peaks (2θ from 10° to 90°), in order of falling intensity:
2θ 37.18, I = 100; 2θ 43.20, I = 53; 2θ 75.24, I = 32; 2θ 62.74, I = 30; 2θ 79.22, I = 10

Crystal structure
```
data_TiH
_chemical_formula_sum 'Ti4 H4'
_space_group_name_H-M_alt 'F m -3 m'
_space_group_IT_number 225
_space_group_name_Hall '-F 4 2 3'
_cell_length_a 4.189
_cell_length_b 4.189
_cell_length_c 4.189
_cell_angle_alpha 90.00
_cell_angle_beta 90.00
_cell_angle_gamma 90.00
loop_
_atom_site_label
_atom_site_type_symbol
_atom_site_fract_x
_atom_site_fract_y
_atom_site_fract_z
Ti1 Ti 0.000 0.000 0.000
H1 H 0.000 0.000 0.500
```


5.
Tl3In: calculated X-ray diffraction stick pattern (Cu Kα, 1.54184 Å), based on a crystal structure in the Materials Project, relaxed with PBE.

The 10 most intense peaks (2θ from 10° to 90°), in order of falling intensity:
2θ 31.43, I = 100; 2θ 36.45, I = 51; 2θ 62.48, I = 43; 2θ 52.50, I = 36; 2θ 85.94, I = 18; 2θ 88.75, I = 17; 2θ 65.60, I = 12; 2θ 77.44, I = 6; 2θ 17.99, I = 4; 2θ 25.55, I = 3

Crystal structure
```
data_Tl3In
_chemical_formula_sum 'Tl3 In1'
_space_group_name_H-M_alt 'P m -3 m'
_space_group_IT_number 221
_space_group_name_Hall '-P 4 2 3'
_cell_length_a 4.930
_cell_length_b 4.930
_cell_length_c 4.930
_cell_angle_alpha 90.00
_cell_angle_beta 90.00
_cell_angle_gamma 90.00
loop_
_atom_site_label
_atom_site_type_symbol
_atom_site_fract_x
_atom_site_fract_y
_atom_site_fract_z
Tl1 Tl 0.000 0.000 0.500
In1 In 0.500 0.500 0.500
```